CaZrNbInO6: computed powder XRD pattern (copper Kα), based on DFT lattice parameters and positions (GGA-PBE).

Top 10 peaks for 2θ = 5–70°, by angle:
| h k l | 2θ (°) | I_rel |
| --- | --- | --- |
| 1 1 1 | 18.61 | 12.2 |
| 2 0 0 | 21.52 | 5.5 |
| 2 2 0 | 30.61 | 100.0 |
| 3 1 1 | 36.07 | 7.3 |
| 4 0 0 | 43.84 | 35.8 |
| 3 3 1 | 48.01 | 3.3 |
| 4 2 2 | 54.42 | 38.7 |
| 5 1 1 | 58.02 | 2.5 |
| 4 4 0 | 63.74 | 21.0 |
| 5 3 1 | 67.03 | 2.4 |

Atomic structure:
```
data_CaZrNbInO6
_chemical_formula_sum 'Ca4 Zr4 Nb4 In4 O24'
_symmetry_space_group_name_H-M 'F -4 3 m'
_symmetry_Int_Tables_number 216
_symmetry_space_group_name_Hall 'F -4 2 3'
_cell_length_a 8.260
_cell_length_b 8.260
_cell_length_c 8.260
_cell_angle_alpha 90.00
_cell_angle_beta 90.00
_cell_angle_gamma 90.00
loop_
_atom_site_label
_atom_site_type_symbol
_atom_site_fract_x
_atom_site_fract_y
_atom_site_fract_z
_atom_site_occupancy
Ca1 Ca 0.000 0.000 0.000 1
Zr1 Zr 0.250 0.250 0.250 1
Nb1 Nb 0.250 0.250 0.750 1
In1 In 0.000 0.000 0.500 1
O1 O 0.006 0.250 0.750 1
```

Ca2NdIn9: computed powder XRD pattern (copper Kα), based on DFT lattice parameters and positions (GGA-PBE).

Top 10 peaks for 2θ = 5–70°, by angle:
| h k l | 2θ (°) | I_rel |
| --- | --- | --- |
| 0 0 1 | 6.24 | 5.4 |
| 1 0 0 | 18.80 | 2.6 |
| 1 0 1 | 19.83 | 2.1 |
| 1 0 2 | 22.64 | 1.6 |
| 1 1 0 | 26.71 | 2.3 |
| 1 1 3 | 32.86 | 100.0 |
| 2 0 0 | 38.13 | 49.7 |
| 2 2 0 | 55.02 | 33.1 |
| 3 1 3 | 65.59 | 38.3 |
| 2 2 6 | 68.91 | 11.0 |

Atomic structure:
```
data_Ca2NdIn9
_chemical_formula_sum 'Ca2 Nd1 In9'
_symmetry_space_group_name_H-M 'P 4/m m m'
_symmetry_Int_Tables_number 123
_symmetry_space_group_name_Hall '-P 4 2'
_cell_length_a 4.719
_cell_length_b 4.719
_cell_length_c 14.170
_cell_angle_alpha 90.00
_cell_angle_beta 90.00
_cell_angle_gamma 90.00
loop_
_atom_site_label
_atom_site_type_symbol
_atom_site_fract_x
_atom_site_fract_y
_atom_site_fract_z
_atom_site_occupancy
Ca1 Ca 0.000 0.000 0.166 1
Nd1 Nd 0.000 0.000 0.500 1
In1 In 0.000 0.500 0.000 1
In2 In 0.000 0.500 0.331 1
In3 In 0.500 0.500 0.167 1
In4 In 0.500 0.500 0.500 1
```

CaNd5In6: computed powder XRD pattern (copper Kα), based on DFT lattice parameters and positions (GGA-PBE).

Top 10 peaks for 2θ = 5–70°, by angle:
| h k l | 2θ (°) | I_rel |
| --- | --- | --- |
| 0 0 2 | 10.76 | 0.8 |
| 0 1 1 | 12.63 | 1.2 |
| 1 1 0 | 19.86 | 1.1 |
| 1 1 2 | 22.65 | 1.0 |
| 2 0 0 | 32.70 | 100.0 |
| 0 4 0 | 46.93 | 18.0 |
| 2 4 0 | 58.34 | 24.7 |
| 3 2 3 | 58.43 | 12.3 |
| 2 4 6 | 68.52 | 9.4 |
| 4 0 0 | 68.65 | 1.9 |

Atomic structure:
```
data_CaNd5In6
_chemical_formula_sum 'Ca2 Nd10 In12'
_symmetry_space_group_name_H-M 'I m m m'
_symmetry_Int_Tables_number 71
_symmetry_space_group_name_Hall '-I 2 2'
_cell_length_a 5.468
_cell_length_b 7.748
_cell_length_c 16.447
_cell_angle_alpha 90.00
_cell_angle_beta 90.00
_cell_angle_gamma 90.00
loop_
_atom_site_label
_atom_site_type_symbol
_atom_site_fract_x
_atom_site_fract_y
_atom_site_fract_z
_atom_site_occupancy
Ca1 Ca 0.000 0.000 0.000 1
Nd1 Nd 0.000 0.000 0.332 1
Nd2 Nd 0.000 0.500 0.000 1
Nd3 Nd 0.000 0.500 0.336 1
In1 In 0.000 0.250 0.166 1
In2 In 0.000 0.251 0.500 1
```

Ca5NdIn4: computed powder XRD pattern (copper Kα), based on DFT lattice parameters and positions (GGA-PBE).

Top 10 peaks for 2θ = 5–70°, by angle:
| h k l | 2θ (°) | I_rel |
| --- | --- | --- |
| 0 0 5 | 21.70 | 18.0 |
| 1 0 0 | 23.04 | 32.3 |
| 1 0 5 | 31.85 | 100.0 |
| 1 1 0 | 32.80 | 57.6 |
| 1 0 6 | 35.09 | 12.4 |
| 1 1 5 | 39.67 | 18.0 |
| 2 0 0 | 47.07 | 20.2 |
| 2 0 5 | 52.38 | 11.0 |
| 1 1 10 | 56.17 | 12.1 |
| 2 1 5 | 57.97 | 34.0 |

Atomic structure:
```
data_Ca5NdIn4
_chemical_formula_sum 'Ca5 Nd1 In4'
_symmetry_space_group_name_H-M 'P 4/m m m'
_symmetry_Int_Tables_number 123
_symmetry_space_group_name_Hall '-P 4 2'
_cell_length_a 3.861
_cell_length_b 3.861
_cell_length_c 20.476
_cell_angle_alpha 90.00
_cell_angle_beta 90.00
_cell_angle_gamma 90.00
loop_
_atom_site_label
_atom_site_type_symbol
_atom_site_fract_x
_atom_site_fract_y
_atom_site_fract_z
_atom_site_occupancy
Ca1 Ca 0.000 0.000 0.000 1
Ca2 Ca 0.000 0.000 0.186 1
Ca3 Ca 0.000 0.000 0.372 1
Nd1 Nd 0.500 0.500 0.500 1
In1 In 0.500 0.500 0.093 1
In2 In 0.500 0.500 0.281 1
```

CaIn2Ni: computed powder XRD pattern (copper Kα), based on DFT lattice parameters and positions (GGA-PBE).

Top 10 peaks for 2θ = 5–70°, by angle:
| h k l | 2θ (°) | I_rel |
| --- | --- | --- |
| 1 0 1 | 19.02 | 65.8 |
| 0 1 1 | 19.28 | 39.2 |
| 2 2 0 | 32.48 | 60.0 |
| 1 0 2 | 33.07 | 69.2 |
| 1 1 2 | 35.14 | 60.3 |
| 2 2 1 | 36.12 | 83.1 |
| 3 0 1 | 37.36 | 88.1 |
| 1 3 1 | 40.28 | 80.7 |
| 1 2 2 | 40.81 | 100.0 |
| 2 3 0 | 42.08 | 50.5 |

Atomic structure:
```
data_CaIn2Ni
_chemical_formula_sum 'Ca4 In8 Ni4'
_symmetry_space_group_name_H-M 'P n m a'
_symmetry_Int_Tables_number 62
_symmetry_space_group_name_Hall '-P 2ac 2n'
_cell_length_a 7.946
_cell_length_b 7.657
_cell_length_c 5.762
_cell_angle_alpha 90.00
_cell_angle_beta 90.00
_cell_angle_gamma 90.00
loop_
_atom_site_label
_atom_site_type_symbol
_atom_site_fract_x
_atom_site_fract_y
_atom_site_fract_z
_atom_site_occupancy
Ca1 Ca 0.034 0.250 0.106 1
In1 In 0.175 0.053 0.612 1
Ni1 Ni 0.114 0.750 0.384 1
```

CaIn3Ni2: computed powder XRD pattern (copper Kα), based on DFT lattice parameters and positions (GGA-PBE).

Top 10 peaks for 2θ = 5–70°, by angle:
| h k l | 2θ (°) | I_rel |
| --- | --- | --- |
| 0 1 2 | 17.79 | 12.7 |
| 0 0 6 | 27.39 | 14.1 |
| 0 2 1 | 31.20 | 14.1 |
| 2 0 2 | 32.22 | 34.8 |
| 0 2 4 | 36.03 | 100.0 |
| 2 0 5 | 38.68 | 20.6 |
| 0 0 9 | 41.60 | 10.0 |
| 2 0 8 | 48.76 | 34.5 |
| 2 2 0 | 54.87 | 29.6 |
| 4 0 4 | 67.41 | 14.6 |

Atomic structure:
```
data_CaIn3Ni2
_chemical_formula_sum 'Ca6 In18 Ni12'
_symmetry_space_group_name_H-M 'R -3 m'
_symmetry_Int_Tables_number 166
_symmetry_space_group_name_Hall '-R 3 2"'
_cell_length_a 6.6928
_cell_length_b 6.6928
_cell_length_c 19.5392
_cell_angle_alpha 90.00
_cell_angle_beta 90.00
_cell_angle_gamma 120.00
loop_
_atom_site_label
_atom_site_type_symbol
_atom_site_fract_x
_atom_site_fract_y
_atom_site_fract_z
_atom_site_occupancy
Ca1 Ca 0.0000 0.0000 0.2296 1
In1 In 0.0092 0.5046 0.2408 1
Ni1 Ni 0.0000 0.0000 0.0000 1
Ni2 Ni 0.0000 0.5000 0.0000 1
```